Computed powder diffraction line list
Compound: CoP2H8O10
Radiation: CuKα
Structure: a cell relaxed with GGA+U
Neutral-atom scattering factors, no anomalous dispersion.

Structure:
abc: 5.3523 10.0340 8.6853
angles: 90.00 124.11 90.00
Atoms (fractional coordinates):
Co 0.0000 0.0000 0.0000
Co 0.0000 0.5000 0.5000
P 0.0871 0.2166 0.3370
P 0.0871 0.2834 0.8370
P 0.9129 0.7166 0.1630
P 0.9129 0.7834 0.6630
H 0.1273 0.7253 0.0113
H 0.1273 0.7747 0.5113
H 0.4067 0.0760 0.8369
H 0.4067 0.4240 0.3369
H 0.4172 0.5499 0.2334
H 0.4172 0.9501 0.7334
H 0.4400 0.1084 0.5976
H 0.4400 0.3916 0.0976
H 0.5600 0.6084 0.9024
H 0.5600 0.8916 0.4024
H 0.5828 0.0499 0.2666
H 0.5828 0.4501 0.7666
H 0.5933 0.5760 0.6631
H 0.5933 0.9240 0.1631
H 0.8727 0.2253 0.4887
H 0.8727 0.2747 0.9887
O 0.0234 0.6709 0.3592
O 0.0234 0.8291 0.8592
O 0.1346 0.1325 0.8665
O 0.1346 0.3675 0.3665
O 0.1538 0.6713 0.1209
O 0.1538 0.8287 0.6209
O 0.3906 0.1397 0.4729
O 0.3906 0.3603 0.9729
O 0.4723 0.5350 0.7073
O 0.4723 0.9650 0.2073
O 0.5277 0.0350 0.7927
O 0.5277 0.4650 0.2927
O 0.6094 0.6397 0.0271
O 0.6094 0.8603 0.5271
O 0.8462 0.1713 0.3791
O 0.8462 0.3287 0.8791
O 0.8654 0.6325 0.6335
O 0.8654 0.8675 0.1335
O 0.9766 0.1709 0.1408
O 0.9766 0.3291 0.6408

Largest 8 diffraction maxima, low angle first, 15 to 90 degrees two-theta:
Position (°2θ)	I/Imax	h k l
15.2	67	0 1 1
18.8	57	1 1 -1
20.0	95	1 0 0
26.3	53	0 1 2
27.9	100	1 2 -2
29.5	50	0 3 1
30.4	35	1 1 1
38.0	24	0 4 1